Structure and simulated XRD peak list of Mo2WS6 (DFT lattice parameters and positions (PBE); λ = 1.5418 Å (Cu Kα)).
Intensities are scaled so that the largest is 1000.

Main lines, in order of rising 2θ (10° ≤ 2θ ≤ 90°):
2θ 12.2, I = 1000
2θ 15.2, I = 233
2θ 32.4, I = 176
2θ 33.0, I = 172
2θ 33.8, I = 67
2θ 34.8, I = 167
2θ 37.5, I = 295
2θ 39.2, I = 304
2θ 45.3, I = 119
2θ 47.6, I = 263
2θ 57.9, I = 145
2θ 59.4, I = 97

Cell and atoms:
Cell lengths 3.188, 3.188, 29.100 Å; angles 90.00, 90.00, 120.00 degrees
Fractional positions:
Mo 0.000 0.000 0.000
Mo 0.333 0.667 0.231
W 0.000 0.000 0.463
S 0.000 0.000 0.177
S 0.000 0.000 0.285
S 0.333 0.667 0.054
S 0.333 0.667 0.409
S 0.333 0.667 0.517
S 0.333 0.667 0.946

=====

Structure and simulated XRD peak list of CsZnPO4 (DFT lattice parameters and positions (PBE); λ = 1.5418 Å (Cu Kα)).
Intensities are scaled so that the largest is 1000.

Main lines, in order of rising 2θ (10° ≤ 2θ ≤ 90°):
2θ 18.6, I = 94
2θ 26.5, I = 433
2θ 26.7, I = 1000
2θ 29.8, I = 90
2θ 30.0, I = 124
2θ 32.6, I = 487
2θ 37.9, I = 92
2θ 42.6, I = 138
2θ 42.9, I = 136
2θ 51.0, I = 171
2θ 54.6, I = 133
2θ 69.0, I = 104

Cell and atoms:
Cell lengths 9.403, 9.505, 5.500 Å; angles 90.00, 90.00, 90.00 degrees
Fractional positions:
Cs 0.004 0.203 0.000
Cs 0.496 0.703 0.500
Cs 0.504 0.297 0.000
Cs 0.996 0.797 0.500
Zn 0.174 0.583 0.990
Zn 0.326 0.083 0.490
Zn 0.674 0.917 0.990
Zn 0.826 0.417 0.490
P 0.196 0.412 0.490
P 0.304 0.912 0.990
P 0.696 0.088 0.490
P 0.804 0.588 0.990
O 0.033 0.395 0.494
O 0.235 0.774 0.900
O 0.242 0.533 0.315
O 0.248 0.949 0.250
O 0.252 0.449 0.750
O 0.258 0.033 0.815
O 0.265 0.274 0.400
O 0.467 0.895 0.994
O 0.533 0.105 0.494
O 0.735 0.726 0.900
O 0.742 0.967 0.315
O 0.748 0.551 0.250
O 0.752 0.051 0.750
O 0.758 0.467 0.815
O 0.765 0.226 0.400
O 0.967 0.605 0.994

=====

Structure and simulated XRD peak list of Ca5Ni9As7 (DFT lattice parameters and positions (PBE); λ = 1.5418 Å (Cu Kα)).
Intensities are scaled so that the largest is 1000.

Main lines, in order of rising 2θ (10° ≤ 2θ ≤ 90°):
2θ 17.8, I = 168
2θ 35.5, I = 1000
2θ 38.6, I = 167
2θ 41.9, I = 146
2θ 44.1, I = 410
2θ 45.4, I = 352
2θ 45.8, I = 154
2θ 47.9, I = 296
2θ 48.3, I = 259
2θ 51.5, I = 185
2θ 68.5, I = 174
2θ 77.4, I = 144

Cell and atoms:
Cell lengths 9.966, 9.966, 3.991 Å; angles 90.00, 90.00, 120.00 degrees
Fractional positions:
Ca 0.000 0.000 0.000
Ca 0.101 0.556 0.500
Ca 0.444 0.546 0.500
Ca 0.454 0.899 0.500
Ca 0.667 0.333 0.500
Ni 0.163 0.362 0.000
Ni 0.200 0.837 0.000
Ni 0.278 0.063 0.500
Ni 0.379 0.291 0.000
Ni 0.638 0.800 0.000
Ni 0.709 0.087 0.000
Ni 0.785 0.722 0.500
Ni 0.913 0.621 0.000
Ni 0.937 0.215 0.500
As 0.049 0.808 0.500
As 0.192 0.241 0.500
As 0.333 0.667 0.000
As 0.430 0.091 0.000
As 0.661 0.570 0.000
As 0.759 0.951 0.500
As 0.909 0.339 0.000

=====

Structure and simulated XRD peak list of KGdNb6Cl18 (DFT lattice parameters and positions (PBE); λ = 1.5418 Å (Cu Kα)).
Intensities are scaled so that the largest is 1000.

Main lines, in order of rising 2θ (10° ≤ 2θ ≤ 90°):
2θ 10.2, I = 132
2θ 11.3, I = 194
2θ 12.8, I = 1000
2θ 21.5, I = 148
2θ 29.1, I = 102
2θ 33.8, I = 360
2θ 34.5, I = 114
2θ 37.9, I = 133
2θ 39.9, I = 145
2θ 40.4, I = 290
2θ 43.7, I = 112
2θ 51.2, I = 165

Cell and atoms:
Cell lengths 10.208, 10.208, 10.208 Å; angles 55.10, 55.10, 55.10 degrees
Fractional positions:
K 0.000 0.000 0.000
Gd 0.276 0.276 0.276
Nb 0.576 0.928 0.692
Nb 0.629 0.862 0.981
Nb 0.692 0.576 0.928
Nb 0.862 0.981 0.629
Nb 0.928 0.692 0.576
Nb 0.981 0.629 0.862
Cl 0.052 0.919 0.361
Cl 0.117 0.842 0.702
Cl 0.120 0.589 0.304
Cl 0.194 0.505 0.637
Cl 0.248 0.436 0.970
Cl 0.304 0.120 0.589
Cl 0.361 0.052 0.919
Cl 0.436 0.970 0.248
Cl 0.439 0.715 0.853
Cl 0.505 0.637 0.194
Cl 0.589 0.304 0.120
Cl 0.637 0.194 0.505
Cl 0.702 0.117 0.842
Cl 0.715 0.853 0.439
Cl 0.842 0.702 0.117
Cl 0.853 0.439 0.715
Cl 0.919 0.361 0.052
Cl 0.970 0.248 0.436